Entry 1:
# Pm12SmRu7
Calculated X-ray diffraction stick pattern, Cu Kα. Input: a PBE-relaxed structure.

Principal peaks in the range 2θ from 15° to 90°, in order of rising 2θ:
| d [Å] | two_theta | Rel. int. |
| --- | --- | --- |
| 5.221 | 17.0 | 8 |
| 3.365 | 26.5 | 11 |
| 3.209 | 27.8 | 34 |
| 2.811 | 31.8 | 100 |
| 2.023 | 44.8 | 35 |
| 1.954 | 46.5 | 29 |
| 1.690 | 54.3 | 11 |
| 1.604 | 57.4 | 14 |
| 1.275 | 74.4 | 11 |
| 1.240 | 76.9 | 10 |

Cell and atoms:
Cell: 8.8027 8.8027 8.8027 Å, 106.31 106.31 106.31°
Atoms (fractional coordinates):
Pm 0.0553 0.3465 0.1173
Pm 0.1173 0.0553 0.3465
Pm 0.2168 0.7549 0.5815
Pm 0.2451 0.4185 0.7832
Pm 0.3465 0.1173 0.0553
Pm 0.4185 0.7832 0.2451
Pm 0.5815 0.2168 0.7549
Pm 0.6535 0.8827 0.9447
Pm 0.7549 0.5815 0.2168
Pm 0.7832 0.2451 0.4185
Pm 0.8827 0.9447 0.6535
Pm 0.9447 0.6535 0.8827
Sm 0.5000 0.5000 0.5000
Ru 0.0000 0.0000 0.0000
Ru 0.1130 0.3996 0.4574
Ru 0.3996 0.4574 0.1130
Ru 0.4574 0.1130 0.3996
Ru 0.5426 0.8870 0.6004
Ru 0.6004 0.5426 0.8870
Ru 0.8870 0.6004 0.5426

Entry 2:
# HoCu5Pd6
Calculated X-ray diffraction stick pattern, Cu Kα. Input: a PBE-relaxed structure.

Principal peaks in the range 2θ from 15° to 90°, in order of rising 2θ:
| d [Å] | two_theta | Rel. int. |
| --- | --- | --- |
| 2.241 | 40.2 | 100 |
| 2.056 | 44.1 | 20 |
| 2.033 | 44.6 | 19 |
| 1.774 | 51.5 | 11 |
| 1.446 | 64.5 | 12 |
| 1.343 | 70.1 | 9 |
| 1.220 | 78.4 | 13 |
| 1.210 | 79.1 | 12 |
| 1.121 | 86.9 | 10 |
| 1.095 | 89.6 | 8 |

Cell and atoms:
Cell: 6.4365 6.4365 7.0955 Å, 90.00 90.00 142.75°
Atoms (fractional coordinates):
Ho 0.0000 0.0000 0.0000
Cu 0.0000 0.0000 0.5000
Cu 0.3229 0.6771 0.0000
Cu 0.3358 0.6642 0.5000
Cu 0.6642 0.3358 0.5000
Cu 0.6771 0.3229 0.0000
Pd 0.1703 0.8297 0.2630
Pd 0.1703 0.8297 0.7370
Pd 0.5000 0.5000 0.2657
Pd 0.5000 0.5000 0.7343
Pd 0.8297 0.1703 0.2630
Pd 0.8297 0.1703 0.7370

Entry 3:
# K3BiF8
Calculated X-ray diffraction stick pattern, Cu Kα. Input: a PBE-relaxed structure.

Principal peaks in the range 2θ from 15° to 90°, in order of rising 2θ:
| d [Å] | two_theta | Rel. int. |
| --- | --- | --- |
| 5.873 | 15.1 | 31 |
| 5.333 | 16.6 | 95 |
| 4.232 | 21.0 | 22 |
| 3.433 | 26.0 | 100 |
| 2.610 | 34.4 | 17 |
| 2.210 | 40.8 | 18 |
| 2.116 | 42.7 | 23 |
| 2.096 | 43.2 | 46 |
| 1.801 | 50.7 | 29 |
| 1.777 | 51.4 | 20 |

Cell and atoms:
Cell: 7.2390 7.2390 7.2390 Å, 131.16 131.16 71.55°
Atoms (fractional coordinates):
K 0.0000 0.0000 0.0000
K 0.2500 0.7500 0.5000
K 0.7500 0.2500 0.5000
Bi 0.5000 0.5000 0.0000
F 0.1825 0.1825 0.5797
F 0.1825 0.6029 0.0000
F 0.3971 0.3971 0.5797
F 0.3971 0.8175 0.0000
F 0.6029 0.1825 0.0000
F 0.6029 0.6029 0.4203
F 0.8175 0.3971 0.0000
F 0.8175 0.8175 0.4203

Entry 4:
# YGe2IrRh2
Calculated X-ray diffraction stick pattern, Cu Kα. Input: a PBE-relaxed structure.

Principal peaks in the range 2θ from 15° to 90°, in order of rising 2θ:
| d [Å] | two_theta | Rel. int. |
| --- | --- | --- |
| 5.518 | 16.1 | 50 |
| 3.283 | 27.2 | 59 |
| 2.372 | 37.9 | 100 |
| 2.322 | 38.8 | 80 |
| 2.140 | 42.2 | 18 |
| 1.659 | 55.4 | 66 |
| 1.642 | 56.0 | 27 |
| 1.350 | 69.7 | 16 |
| 1.186 | 81.1 | 18 |
| 1.167 | 82.7 | 21 |

Cell and atoms:
Cell: 4.6435 4.6435 5.5175 Å, 90.00 90.00 90.00°
Atoms (fractional coordinates):
Y 0.0000 0.0000 0.0000
Ge 0.0000 0.5000 0.5000
Ge 0.5000 0.0000 0.5000
Ir 0.0000 0.0000 0.5000
Rh 0.5000 0.5000 0.2449
Rh 0.5000 0.5000 0.7551

Entry 5:
# KZnHO2
Calculated X-ray diffraction stick pattern, Cu Kα. Input: a PBE-relaxed structure.

Principal peaks in the range 2θ from 15° to 90°, in order of rising 2θ:
| d [Å] | two_theta | Rel. int. |
| --- | --- | --- |
| 5.495 | 16.1 | 76 |
| 4.102 | 21.7 | 38 |
| 3.287 | 27.1 | 100 |
| 2.803 | 31.9 | 34 |
| 2.748 | 32.6 | 53 |
| 2.672 | 33.5 | 58 |
| 2.303 | 39.1 | 48 |
| 2.282 | 39.5 | 46 |
| 2.253 | 40.0 | 35 |
| 1.651 | 55.7 | 32 |

Cell and atoms:
Cell: 5.6634 4.1018 5.7766 Å, 90.00 103.99 90.00°
Atoms (fractional coordinates):
K 0.0000 0.2053 0.2500
K 0.0000 0.7947 0.7500
Zn 0.5000 0.4818 0.7500
Zn 0.5000 0.5182 0.2500
H 0.5000 0.0000 0.0000
H 0.5000 0.0000 0.5000
O 0.3448 0.2243 0.9691
O 0.3448 0.7757 0.4691
O 0.6552 0.2243 0.5309
O 0.6552 0.7757 0.0309

Entry 6:
# Li4Cd15Hg
Calculated X-ray diffraction stick pattern, Cu Kα. Input: a PBE-relaxed structure.

Principal peaks in the range 2θ from 15° to 90°, in order of rising 2θ:
| d [Å] | two_theta | Rel. int. |
| --- | --- | --- |
| 4.380 | 20.3 | 7 |
| 3.114 | 28.7 | 6 |
| 2.538 | 35.4 | 100 |
| 2.214 | 40.8 | 16 |
| 2.190 | 41.2 | 33 |
| 1.557 | 59.4 | 20 |
| 1.549 | 59.7 | 11 |
| 1.332 | 70.7 | 11 |
| 1.322 | 71.4 | 24 |
| 1.269 | 74.8 | 10 |

Cell and atoms:
Cell: 4.3799 4.3799 22.1366 Å, 90.00 90.00 90.00°
Atoms (fractional coordinates):
Li 0.0000 0.0000 0.0995
Li 0.0000 0.0000 0.2947
Li 0.0000 0.0000 0.7053
Li 0.0000 0.0000 0.9005
Cd 0.0000 0.5000 0.0000
Cd 0.0000 0.5000 0.1971
Cd 0.0000 0.5000 0.3934
Cd 0.0000 0.5000 0.6066
Cd 0.0000 0.5000 0.8029
Cd 0.5000 0.0000 0.0000
Cd 0.5000 0.0000 0.1971
Cd 0.5000 0.0000 0.3934
Cd 0.5000 0.0000 0.6066
Cd 0.5000 0.0000 0.8029
Cd 0.5000 0.5000 0.0989
Cd 0.5000 0.5000 0.2961
Cd 0.5000 0.5000 0.5000
Cd 0.5000 0.5000 0.7039
Cd 0.5000 0.5000 0.9011
Hg 0.0000 0.0000 0.5000

Entry 7:
# CaZrPa2Sb4
Calculated X-ray diffraction stick pattern, Cu Kα. Input: a PBE-relaxed structure.

Principal peaks in the range 2θ from 15° to 90°, in order of rising 2θ:
| d [Å] | two_theta | Rel. int. |
| --- | --- | --- |
| 5.487 | 16.2 | 22 |
| 3.067 | 29.1 | 100 |
| 2.277 | 39.6 | 8 |
| 2.168 | 41.7 | 76 |
| 1.770 | 51.6 | 27 |
| 1.534 | 60.3 | 8 |
| 1.372 | 68.4 | 23 |
| 1.370 | 68.5 | 11 |
| 1.252 | 76.0 | 17 |
| 1.251 | 76.1 | 8 |

Cell and atoms:
Cell: 6.1377 6.1377 12.2478 Å, 90.00 90.00 90.00°
Atoms (fractional coordinates):
Ca 0.0000 0.0000 0.0000
Ca 0.5000 0.5000 0.5000
Zr 0.0000 0.5000 0.7500
Zr 0.5000 0.0000 0.2500
Pa 0.0000 0.0000 0.5000
Pa 0.0000 0.5000 0.2500
Pa 0.5000 0.0000 0.7500
Pa 0.5000 0.5000 0.0000
Sb 0.0000 0.0000 0.2511
Sb 0.0000 0.0000 0.7489
Sb 0.0000 0.5000 0.5043
Sb 0.0000 0.5000 0.9957
Sb 0.5000 0.0000 0.0043
Sb 0.5000 0.0000 0.4957
Sb 0.5000 0.5000 0.2489
Sb 0.5000 0.5000 0.7511

Entry 8:
# MnTc2Te
Calculated X-ray diffraction stick pattern, Cu Kα. Input: a PBE-relaxed structure.

Principal peaks in the range 2θ from 15° to 90°, in order of rising 2θ:
| d [Å] | two_theta | Rel. int. |
| --- | --- | --- |
| 3.415 | 26.1 | 4 |
| 2.817 | 31.8 | 6 |
| 2.292 | 39.3 | 100 |
| 2.186 | 41.3 | 45 |
| 1.707 | 53.7 | 9 |
| 1.546 | 59.8 | 15 |
| 1.346 | 69.9 | 15 |
| 1.282 | 74.0 | 29 |
| 1.146 | 84.5 | 9 |
| 1.093 | 89.7 | 5 |

Cell and atoms:
Cell: 3.0921 3.0921 6.8298 Å, 90.00 90.00 90.00°
Atoms (fractional coordinates):
Mn 0.0000 0.0000 0.0000
Tc 0.0000 0.0000 0.4534
Tc 0.5000 0.5000 0.2361
Te 0.5000 0.5000 0.7418

Entry 9:
# Nd3SmH8
Calculated X-ray diffraction stick pattern, Cu Kα. Input: a PBE-relaxed structure.

Principal peaks in the range 2θ from 15° to 90°, in order of rising 2θ:
| d [Å] | two_theta | Rel. int. |
| --- | --- | --- |
| 3.144 | 28.4 | 100 |
| 2.723 | 32.9 | 49 |
| 1.925 | 47.2 | 38 |
| 1.642 | 56.0 | 45 |
| 1.572 | 58.7 | 13 |
| 1.361 | 69.0 | 6 |
| 1.249 | 76.2 | 18 |
| 1.218 | 78.6 | 16 |
| 1.112 | 87.8 | 13 |

Cell and atoms:
Cell: 5.4458 5.4458 5.4458 Å, 90.00 90.00 90.00°
Atoms (fractional coordinates):
Nd 0.0000 0.0000 0.5000
Nd 0.0000 0.5000 0.0000
Nd 0.5000 0.0000 0.0000
Sm 0.5000 0.5000 0.5000
H 0.2528 0.2528 0.2528
H 0.2528 0.2528 0.7472
H 0.2528 0.7472 0.2528
H 0.2528 0.7472 0.7472
H 0.7472 0.2528 0.2528
H 0.7472 0.2528 0.7472
H 0.7472 0.7472 0.2528
H 0.7472 0.7472 0.7472

Entry 10:
# TbYGe
Calculated X-ray diffraction stick pattern, Cu Kα. Input: a PBE-relaxed structure.

Principal peaks in the range 2θ from 15° to 90°, in order of rising 2θ:
| d [Å] | two_theta | Rel. int. |
| --- | --- | --- |
| 3.395 | 26.3 | 53 |
| 2.863 | 31.2 | 100 |
| 2.829 | 31.6 | 75 |
| 2.654 | 33.8 | 33 |
| 2.618 | 34.2 | 76 |
| 2.513 | 35.7 | 82 |
| 2.122 | 42.6 | 37 |
| 1.858 | 49.0 | 24 |
| 1.725 | 53.1 | 45 |
| 1.697 | 54.0 | 33 |

Cell and atoms:
Cell: 4.2437 11.6361 6.4749 Å, 90.00 90.00 90.00°
Atoms (fractional coordinates):
Tb 0.0000 0.2074 0.2500
Tb 0.0000 0.7926 0.7500
Tb 0.5000 0.2926 0.7500
Tb 0.5000 0.7074 0.2500
Y 0.0000 0.5000 0.0000
Y 0.0000 0.5000 0.5000
Y 0.5000 0.0000 0.0000
Y 0.5000 0.0000 0.5000
Ge 0.0000 0.1146 0.7500
Ge 0.0000 0.8854 0.2500
Ge 0.5000 0.3854 0.2500
Ge 0.5000 0.6146 0.7500